Simulated PXRD pattern of DyMgSe3 for Cu Kα, from a cell relaxed with PBE.

Top 10 peaks for 2θ from 5° to 70°, in order of rising 2θ:
- d = 6.002 Å, 2θ 14.76, intensity 100
- d = 5.614 Å, 2θ 15.79, intensity 98
- d = 3.488 Å, 2θ 25.54, intensity 52
- d = 3.386 Å, 2θ 26.32, intensity 66
- d = 3.062 Å, 2θ 29.17, intensity 38
- d = 2.901 Å, 2θ 30.82, intensity 64
- d = 2.670 Å, 2θ 33.56, intensity 81
- d = 2.567 Å, 2θ 34.95, intensity 55
- d = 2.179 Å, 2θ 41.45, intensity 60
- d = 2.000 Å, 2θ 45.34, intensity 38

a b c (Å): 7.2888 7.2888 6.7402
angles (deg): 106.79 106.79 110.85
Fractional coordinates of all 10 atoms:
Dy 0.2203 0.2203 0.2337
Dy 0.7797 0.7797 0.7663
Mg 0.3331 0.6669 0.0000
Mg 0.6669 0.3331 0.0000
Se 0.1040 0.7954 0.1957
Se 0.2046 0.8960 0.8043
Se 0.4199 0.4199 0.7109
Se 0.5801 0.5801 0.2891
Se 0.7954 0.1040 0.1957
Se 0.8960 0.2046 0.8043

---

Simulated PXRD pattern of Tb2Cl2O for Cu Kα, from a cell relaxed with PBE.

Top 10 peaks for 2θ from 5° to 70°, in order of rising 2θ:
- d = 12.793 Å, 2θ 6.91, intensity 61
- d = 6.396 Å, 2θ 13.84, intensity 16
- d = 4.264 Å, 2θ 20.83, intensity 16
- d = 4.168 Å, 2θ 21.32, intensity 100
- d = 3.963 Å, 2θ 22.43, intensity 19
- d = 2.981 Å, 2θ 29.98, intensity 27
- d = 2.947 Å, 2θ 30.33, intensity 41
- d = 2.537 Å, 2θ 35.38, intensity 18
- d = 1.898 Å, 2θ 47.92, intensity 19
- d = 1.864 Å, 2θ 48.86, intensity 21

a b c (Å): 4.1681 4.1681 12.7928
angles (deg): 90.00 90.00 90.00
Fractional coordinates of all 5 atoms:
Tb 0.0000 0.0000 0.1622
Tb 0.0000 0.0000 0.8378
Cl 0.0000 0.0000 0.3558
Cl 0.0000 0.0000 0.6442
O 0.0000 0.0000 0.0000

---

Simulated PXRD pattern of NbBi2O5F for Cu Kα, from a cell relaxed with PBE.

Top 10 peaks for 2θ from 5° to 70°, in order of rising 2θ:
- d = 8.514 Å, 2θ 10.39, intensity 20
- d = 3.194 Å, 2θ 27.93, intensity 100
- d = 2.838 Å, 2θ 31.52, intensity 18
- d = 2.732 Å, 2θ 32.78, intensity 34
- d = 2.555 Å, 2θ 35.12, intensity 13
- d = 1.968 Å, 2θ 46.11, intensity 27
- d = 1.932 Å, 2θ 47.03, intensity 18
- d = 1.699 Å, 2θ 53.96, intensity 16
- d = 1.653 Å, 2θ 55.59, intensity 31
- d = 1.597 Å, 2θ 57.72, intensity 13

a b c (Å): 5.4594 5.4707 17.0285
angles (deg): 90.00 90.00 90.00
Fractional coordinates of all 36 atoms:
Nb 0.2493 0.2469 0.2365
Nb 0.2507 0.7531 0.7365
Nb 0.7493 0.2531 0.7635
Nb 0.7507 0.7469 0.2635
Bi 0.2391 0.7616 0.4258
Bi 0.2448 0.2715 0.5768
Bi 0.2552 0.7285 0.0768
Bi 0.2609 0.2384 0.9258
Bi 0.7391 0.7384 0.5742
Bi 0.7448 0.2285 0.4232
Bi 0.7552 0.7715 0.9232
Bi 0.7609 0.2616 0.0742
O 0.0020 0.5036 0.9974
O 0.0023 0.9991 0.0024
O 0.0489 0.9487 0.2355
O 0.0497 0.4502 0.7616
O 0.2321 0.3048 0.1271
O 0.2679 0.6952 0.6271
O 0.4503 0.5498 0.2616
O 0.4511 0.0513 0.7355
O 0.4977 0.0009 0.5024
O 0.4980 0.4964 0.4974
O 0.5023 0.5009 0.9976
O 0.5020 0.9964 0.0026
O 0.5489 0.5513 0.7645
O 0.5497 0.0498 0.2384
O 0.7321 0.1952 0.8729
O 0.7679 0.8048 0.3729
O 0.9503 0.9502 0.7384
O 0.9511 0.4487 0.2645
O 0.9980 0.0036 0.5026
O 0.9977 0.4991 0.4976
F 0.2361 0.7958 0.8702
F 0.2639 0.2042 0.3702
F 0.7361 0.7042 0.1298
F 0.7639 0.2958 0.6298

---

Simulated PXRD pattern of TiS2 for Cu Kα, from a cell relaxed with PBE.

Top 10 peaks for 2θ from 5° to 70°, in order of rising 2θ:
- d = 4.001 Å, 2θ 22.22, intensity 2
- d = 3.119 Å, 2θ 28.62, intensity 5
- d = 2.489 Å, 2θ 36.08, intensity 7
- d = 2.310 Å, 2θ 38.99, intensity 100
- d = 2.114 Å, 2θ 42.78, intensity 62
- d = 1.856 Å, 2θ 49.07, intensity 1
- d = 1.693 Å, 2θ 54.16, intensity 12
- d = 1.559 Å, 2θ 59.25, intensity 22
- d = 1.533 Å, 2θ 60.38, intensity 1
- d = 1.447 Å, 2θ 64.38, intensity 1

a b c (Å): 4.6203 4.6203 4.9787
angles (deg): 90.00 90.00 120.00
Fractional coordinates of all 6 atoms:
Ti 0.3333 0.6667 0.2500
Ti 0.6667 0.3333 0.7500
S 0.0000 0.0000 0.0000
S 0.0000 0.0000 0.5000
S 0.3333 0.6667 0.7500
S 0.6667 0.3333 0.2500

---

Simulated PXRD pattern of Nd2CuS2O for Cu Kα, from a cell relaxed with PBE.

Top 10 peaks for 2θ from 5° to 70°, in order of rising 2θ:
- d = 13.849 Å, 2θ 6.38, intensity 20
- d = 4.616 Å, 2θ 19.23, intensity 29
- d = 3.735 Å, 2θ 23.82, intensity 100
- d = 2.904 Å, 2θ 30.79, intensity 38
- d = 2.641 Å, 2θ 33.94, intensity 39
- d = 2.293 Å, 2θ 39.30, intensity 20
- d = 1.964 Å, 2θ 46.24, intensity 26
- d = 1.738 Å, 2θ 52.66, intensity 18
- d = 1.671 Å, 2θ 54.97, intensity 19
- d = 1.353 Å, 2θ 69.45, intensity 15

a b c (Å): 3.7354 3.7354 13.8487
angles (deg): 90.00 90.00 90.00
Fractional coordinates of all 6 atoms:
Nd 0.0000 0.0000 0.1547
Nd 0.0000 0.0000 0.8453
Cu 0.0000 0.0000 0.5000
S 0.0000 0.0000 0.3496
S 0.0000 0.0000 0.6504
O 0.0000 0.0000 0.0000

---

Simulated PXRD pattern of HfThO3 for Cu Kα, from a cell relaxed with PBE.

Top 6 peaks for 2θ from 5° to 70°, in order of rising 2θ:
- d = 4.120 Å, 2θ 21.57, intensity 1
- d = 2.914 Å, 2θ 30.69, intensity 100
- d = 2.379 Å, 2θ 37.82, intensity 2
- d = 2.060 Å, 2θ 43.95, intensity 26
- d = 1.682 Å, 2θ 54.55, intensity 42
- d = 1.457 Å, 2θ 63.90, intensity 17

a b c (Å): 4.1204 4.1204 4.1204
angles (deg): 90.00 90.00 90.00
Fractional coordinates of all 5 atoms:
Hf 0.0000 0.0000 0.0000
Th 0.5000 0.5000 0.5000
O 0.0000 0.0000 0.5000
O 0.0000 0.5000 0.0000
O 0.5000 0.0000 0.0000

---

Simulated PXRD pattern of ScGeAu for Cu Kα, from a cell relaxed with PBE.

Top 10 peaks for 2θ from 5° to 70°, in order of rising 2θ:
- d = 3.789 Å, 2θ 23.48, intensity 35
- d = 3.459 Å, 2θ 25.76, intensity 41
- d = 3.323 Å, 2θ 26.83, intensity 95
- d = 2.554 Å, 2θ 35.13, intensity 78
- d = 2.187 Å, 2θ 41.27, intensity 100
- d = 1.970 Å, 2θ 46.08, intensity 59
- d = 1.849 Å, 2θ 49.29, intensity 45
- d = 1.827 Å, 2θ 49.91, intensity 18
- d = 1.661 Å, 2θ 55.29, intensity 21
- d = 1.464 Å, 2θ 63.56, intensity 23

a b c (Å): 4.3749 4.3749 6.9174
angles (deg): 90.00 90.00 120.00
Fractional coordinates of all 6 atoms:
Sc 0.0000 0.0000 0.0000
Sc 0.0000 0.0000 0.5000
Ge 0.3333 0.6667 0.2970
Ge 0.6667 0.3333 0.7970
Au 0.3333 0.6667 0.6972
Au 0.6667 0.3333 0.1972

---

Simulated PXRD pattern of CaSnO6 for Cu Kα, from a cell relaxed with PBE.

Top 10 peaks for 2θ from 5° to 70°, in order of rising 2θ:
- d = 5.077 Å, 2θ 17.47, intensity 34
- d = 4.396 Å, 2θ 20.20, intensity 100
- d = 3.109 Å, 2θ 28.72, intensity 35
- d = 2.651 Å, 2θ 33.81, intensity 16
- d = 2.198 Å, 2θ 41.06, intensity 26
- d = 1.966 Å, 2θ 46.17, intensity 41
- d = 1.795 Å, 2θ 50.87, intensity 15
- d = 1.692 Å, 2θ 54.20, intensity 8
- d = 1.554 Å, 2θ 59.47, intensity 15
- d = 1.465 Å, 2θ 63.48, intensity 19

a b c (Å): 8.7928 8.7928 8.7928
angles (deg): 90.00 90.00 90.00
Fractional coordinates of all 32 atoms:
Ca 0.0000 0.0000 0.0000
Ca 0.0000 0.5000 0.5000
Ca 0.5000 0.0000 0.5000
Ca 0.5000 0.5000 0.0000
Sn 0.0000 0.0000 0.5000
Sn 0.0000 0.5000 0.0000
Sn 0.5000 0.0000 0.0000
Sn 0.5000 0.5000 0.5000
O 0.0070 0.0070 0.2658
O 0.0070 0.2342 0.4930
O 0.0070 0.2658 0.0070
O 0.0070 0.4930 0.2342
O 0.2342 0.0070 0.4930
O 0.2342 0.4930 0.0070
O 0.2658 0.0070 0.0070
O 0.2658 0.4930 0.4930
O 0.4930 0.0070 0.2342
O 0.4930 0.2342 0.0070
O 0.4930 0.2658 0.4930
O 0.4930 0.4930 0.2658
O 0.5070 0.5070 0.7342
O 0.5070 0.7342 0.5070
O 0.5070 0.7658 0.9930
O 0.5070 0.9930 0.7658
O 0.7342 0.5070 0.5070
O 0.7342 0.9930 0.9930
O 0.7658 0.5070 0.9930
O 0.7658 0.9930 0.5070
O 0.9930 0.5070 0.7658
O 0.9930 0.7342 0.9930
O 0.9930 0.7658 0.5070
O 0.9930 0.9930 0.7342